(1)
Theoretical PXRD pattern
Compound: AcZrTi2O8
Radiation: Cu Kα X-rays
Structure: a cell relaxed with GGA-PBE
Lines closer than 0.1° are merged.

Structural model:
Lattice parameters (Å, degrees): 6.804 6.804 6.804 135.01 135.01 65.52
Element x y z (fractional)
Ac: 0.000 0.000 0.000
Zr: 0.250 0.750 0.500
Ti: 0.500 0.500 0.000
Ti: 0.750 0.250 0.500
O: 0.005 0.060 0.422
O: 0.274 0.669 0.125
O: 0.331 0.456 0.605
O: 0.417 0.995 0.054
O: 0.544 0.149 0.875
O: 0.638 0.583 0.578
O: 0.851 0.726 0.395
O: 0.940 0.362 0.946

Main lines, in order of rising 2θ (2θ from 15° to 90°):
2θ (°), d/Å, I/Imax
18.72, 4.739, 46
28.84, 3.096, 100
29.02, 3.077, 15
31.26, 2.861, 15
34.45, 2.603, 19
39.49, 2.282, 21
45.65, 1.988, 14
47.20, 1.926, 30
54.16, 1.694, 17
58.31, 1.582, 28

***

(2)
Theoretical PXRD pattern
Compound: AlHRh
Radiation: Cu Kα X-rays
Structure: a cell relaxed with GGA-PBE
Lines closer than 0.1° are merged.

Structural model:
Lattice parameters (Å, degrees): 3.124 3.124 28.206 90.00 90.00 90.00
Element x y z (fractional)
Al: 0.001 0.499 0.047
Al: 0.001 0.501 0.453
Al: 0.499 0.001 0.703
Al: 0.499 0.999 0.797
Al: 0.501 0.001 0.297
Al: 0.501 0.999 0.203
Al: 0.999 0.499 0.953
Al: 0.999 0.501 0.547
H: 0.001 0.499 0.215
H: 0.001 0.501 0.285
H: 0.499 0.001 0.535
H: 0.499 0.999 0.965
H: 0.501 0.001 0.465
H: 0.501 0.999 0.035
H: 0.999 0.499 0.785
H: 0.999 0.501 0.715
Rh: 0.001 0.499 0.158
Rh: 0.001 0.501 0.342
Rh: 0.499 0.001 0.592
Rh: 0.499 0.999 0.908
Rh: 0.501 0.001 0.408
Rh: 0.501 0.999 0.092
Rh: 0.999 0.499 0.842
Rh: 0.999 0.501 0.658

Main lines, in order of rising 2θ (2θ from 15° to 90°):
2θ (°), d/Å, I/Imax
34.47, 2.602, 100
40.85, 2.209, 62
42.90, 2.108, 22
43.21, 2.094, 82
59.14, 1.562, 20
66.79, 1.401, 9
68.04, 1.378, 16
70.28, 1.339, 24
76.01, 1.252, 30
82.51, 1.169, 9

***

(3)
Theoretical PXRD pattern
Compound: RbSb2Pd3
Radiation: Cu Kα X-rays
Structure: a cell relaxed with GGA-PBE
Lines closer than 0.1° are merged.

Structural model:
Lattice parameters (Å, degrees): 9.545 9.545 9.918 121.21 121.21 27.84
Element x y z (fractional)
Rb: 0.180 0.180 0.179
Rb: 0.820 0.820 0.821
Sb: 0.108 0.108 0.608
Sb: 0.500 0.500 0.147
Sb: 0.500 0.500 0.853
Sb: 0.892 0.892 0.392
Pd: 0.000 0.000 0.282
Pd: 0.000 0.000 0.718
Pd: 0.400 0.400 0.261
Pd: 0.400 0.400 0.539
Pd: 0.600 0.600 0.461
Pd: 0.600 0.600 0.739

Main lines, in order of rising 2θ (2θ from 15° to 90°):
2θ (°), d/Å, I/Imax
21.20, 4.190, 40
24.19, 3.679, 34
29.05, 3.074, 32
29.90, 2.988, 80
31.60, 2.831, 45
39.24, 2.296, 69
40.76, 2.214, 92
41.80, 2.161, 100
48.65, 1.871, 65
50.10, 1.821, 44

***

(4)
Theoretical PXRD pattern
Compound: Cs3Ag2Cl4
Radiation: Cu Kα X-rays
Structure: a cell relaxed with GGA-PBE
Lines closer than 0.1° are merged.

Structural model:
Lattice parameters (Å, degrees): 9.666 9.666 8.891 93.03 93.03 57.19
Element x y z (fractional)
Cs: 0.024 0.976 0.750
Cs: 0.271 0.448 0.127
Cs: 0.448 0.271 0.627
Cs: 0.552 0.729 0.373
Cs: 0.729 0.552 0.873
Cs: 0.976 0.024 0.250
Ag: 0.023 0.349 0.522
Ag: 0.349 0.023 0.022
Ag: 0.651 0.977 0.978
Ag: 0.977 0.651 0.478
Cl: 0.152 0.255 0.820
Cl: 0.236 0.680 0.475
Cl: 0.255 0.152 0.320
Cl: 0.320 0.764 0.025
Cl: 0.680 0.236 0.975
Cl: 0.745 0.848 0.680
Cl: 0.764 0.320 0.525
Cl: 0.848 0.745 0.180

Main lines, in order of rising 2θ (2θ from 15° to 90°):
2θ (°), d/Å, I/Imax
22.05, 4.032, 62
23.12, 3.847, 44
23.84, 3.733, 72
27.86, 3.202, 45
28.03, 3.183, 100
29.90, 2.989, 54
31.69, 2.824, 31
32.51, 2.754, 48
34.93, 2.568, 34
40.42, 2.232, 32

***

> Number 2 is which compound?

AlHRh